Entry 1:
The following is a simulated XRD peak list of Na3Mg2W3O12. It was derived from DFT lattice parameters and positions (GGA+U), using Cu Kα (weighted mean of Kα1 and Kα2).

Main lines, by angle (5 to 70 degrees two-theta):
| d [Å] | Rel. int. |
| --- | --- |
| 4.656 | 100.0 |
| 4.289 | 77.9 |
| 3.823 | 62.0 |
| 3.491 | 58.6 |
| 2.915 | 95.8 |
| 2.827 | 74.2 |

Crystal structure
```
data_Na3Mg2W3O12
_symmetry_space_group_name_H-M 'P 1'
_symmetry_Int_Tables_number 1
_cell_length_a 9.177
_cell_length_b 9.177
_cell_length_c 7.267
_cell_angle_alpha 105.39
_cell_angle_beta 105.39
_cell_angle_gamma 95.68
loop_
_symmetry_equiv_pos_as_xyz
'x,y,z'
loop_
_atom_site_label
_atom_site_fract_x
_atom_site_fract_y
_atom_site_fract_z
Na1 0.000 0.000 0.000
Na2 0.000 0.000 0.500
Na3 0.235 0.765 0.750
Na4 0.470 0.530 0.250
Na5 0.530 0.470 0.750
Na6 0.765 0.235 0.250
Mg1 0.133 0.445 0.873
Mg2 0.445 0.133 0.373
Mg3 0.555 0.867 0.627
Mg4 0.867 0.555 0.127
W1 0.158 0.386 0.375
W2 0.220 0.780 0.250
W3 0.386 0.158 0.875
W4 0.614 0.842 0.125
W5 0.780 0.220 0.750
W6 0.842 0.614 0.625
O1 0.021 0.758 0.275
O2 0.033 0.206 0.305
O3 0.095 0.459 0.159
O4 0.148 0.499 0.618
O5 0.206 0.033 0.805
O6 0.242 0.979 0.225
O7 0.276 0.659 0.031
O8 0.341 0.352 0.904
O9 0.341 0.724 0.469
O10 0.352 0.341 0.404
O11 0.459 0.095 0.659
O12 0.499 0.148 0.118
O13 0.501 0.852 0.882
O14 0.541 0.905 0.341
O15 0.648 0.659 0.596
O16 0.659 0.276 0.531
O17 0.659 0.648 0.096
O18 0.724 0.341 0.969
O19 0.758 0.021 0.775
O20 0.794 0.967 0.195
O21 0.852 0.501 0.382
O22 0.905 0.541 0.841
O23 0.967 0.794 0.695
O24 0.979 0.242 0.725
```

Entry 2:
The following is a simulated XRD peak list of Mg6NbNiO8. It was derived from DFT lattice parameters and positions (GGA+U), using Cu Kα (weighted mean of Kα1 and Kα2).

Main lines, by angle (5 to 70 degrees two-theta):
| d [Å] | Rel. int. |
| --- | --- |
| 4.254 | 40.2 |
| 3.101 | 36.6 |
| 2.506 | 54.4 |
| 2.265 | 57.4 |
| 2.127 | 100.0 |
| 1.551 | 64.5 |

Crystal structure
```
data_Mg6NbNiO8
_symmetry_space_group_name_H-M 'P 1'
_symmetry_Int_Tables_number 1
_cell_length_a 4.254
_cell_length_b 4.254
_cell_length_c 9.060
_cell_angle_alpha 90.00
_cell_angle_beta 90.00
_cell_angle_gamma 90.00
loop_
_symmetry_equiv_pos_as_xyz
'x,y,z'
loop_
_atom_site_label
_atom_site_fract_x
_atom_site_fract_y
_atom_site_fract_z
Mg1 0.000 0.000 0.000
Mg2 0.000 0.000 0.500
Mg3 0.000 0.500 0.230
Mg4 0.000 0.500 0.770
Mg5 0.500 0.000 0.230
Mg6 0.500 0.000 0.770
Nb1 0.500 0.500 0.500
Ni1 0.500 0.500 0.000
O1 0.000 0.000 0.250
O2 0.000 0.000 0.750
O3 0.000 0.500 0.000
O4 0.000 0.500 0.500
O5 0.500 0.000 0.000
O6 0.500 0.000 0.500
O7 0.500 0.500 0.265
O8 0.500 0.500 0.735
```